1.
The following is a simulated powder X-ray diffraction pattern of Rb2AsH5O6. It was derived from a GGA-PBE-relaxed structure, using copper Kα.
Neutral-atom scattering factors, no anomalous dispersion.

Structure:
```
data_Rb2AsH5O6
_symmetry_space_group_name_H-M 'P 1 21/c 1'
_symmetry_Int_Tables_number 14
_symmetry_space_group_name_Hall '-P 2ybc'
_cell_length_a 7.8616
_cell_length_b 13.8231
_cell_length_c 8.2749
_cell_angle_alpha 90.00
_cell_angle_beta 121.02
_cell_angle_gamma 90.00
loop_
_atom_site_label
_atom_site_type_symbol
_atom_site_fract_x
_atom_site_fract_y
_atom_site_fract_z
Rb1 Rb 0.2428 0.2369 0.2481
Rb2 Rb 0.2481 0.5833 0.7544
As1 As 0.2429 0.6399 0.2380
H1 H 0.1636 0.0898 0.4486
H2 H 0.1694 0.0351 0.8772
H3 H 0.2744 0.7347 0.4924
H4 H 0.3383 0.0369 0.6273
H5 H 0.3446 0.0887 0.0569
O1 O 0.0642 0.5733 0.2468
O2 O 0.1395 0.7233 0.0591
O3 O 0.2022 0.0951 0.9554
O4 O 0.3056 0.0980 0.5517
O5 O 0.3710 0.7074 0.4531
O6 O 0.4258 0.5749 0.2340
```

Main lines, low angle first (10° ≤ 2θ ≤ 90°):
2θ/deg	intensity	h k l
23.39	65	1 3 0
25.12	52	0 0 2
25.41	41	2 0 -2
26.46	64	2 0 0
29.01	100	1 3 -2
34.58	27	2 4 -1
39.47	44	1 3 2
39.86	21	3 3 -2


2.
The following is a simulated powder X-ray diffraction pattern of SrZnAsHO5. It was derived from a GGA-PBE-relaxed structure, using copper Kα.
Neutral-atom scattering factors, no anomalous dispersion.

Structure:
```
data_SrZnAsHO5
_symmetry_space_group_name_H-M 'P 21 21 21'
_symmetry_Int_Tables_number 19
_symmetry_space_group_name_Hall 'P 2ac 2ab'
_cell_length_a 6.1391
_cell_length_b 7.7681
_cell_length_c 9.4245
_cell_angle_alpha 90.00
_cell_angle_beta 90.00
_cell_angle_gamma 90.00
loop_
_atom_site_label
_atom_site_type_symbol
_atom_site_fract_x
_atom_site_fract_y
_atom_site_fract_z
Sr1 Sr 0.0284 0.1341 0.1680
Zn1 Zn 0.2339 0.2652 0.5104
As1 As 0.0142 0.6211 0.6829
H1 H 0.0105 0.0029 0.4873
O1 O 0.0029 0.1126 0.4340
O2 O 0.0096 0.9455 0.9320
O3 O 0.0669 0.7915 0.5706
O4 O 0.2293 0.1432 0.7259
O5 O 0.2411 0.6080 0.7915
```

Main lines, low angle first (10° ≤ 2θ ≤ 90°):
2θ/deg	intensity	h k l
20.71	36	1 1 1
27.17	100	1 2 0
30.70	84	0 1 3
32.78	69	2 1 1
33.27	46	1 2 2
34.07	51	1 1 3
54.82	50	2 3 3
58.72	28	0 0 6


3.
The following is a simulated powder X-ray diffraction pattern of Zn2AsHO5. It was derived from a GGA-PBE-relaxed structure, using copper Kα.
Neutral-atom scattering factors, no anomalous dispersion.

Structure:
```
data_Zn2AsHO5
_symmetry_space_group_name_H-M 'P n n m'
_symmetry_Int_Tables_number 58
_symmetry_space_group_name_Hall '-P 2 2n'
_cell_length_a 8.4649
_cell_length_b 8.6486
_cell_length_c 6.1446
_cell_angle_alpha 90.00
_cell_angle_beta 90.00
_cell_angle_gamma 90.00
loop_
_atom_site_label
_atom_site_type_symbol
_atom_site_fract_x
_atom_site_fract_y
_atom_site_fract_z
Zn1 Zn 0.0000 0.0000 0.2464
Zn2 Zn 0.1333 0.3671 0.0000
As1 As 0.2496 0.2442 0.5000
H1 H 0.2131 0.0931 0.0000
O1 O 0.0716 0.1445 0.5000
O2 O 0.1053 0.1309 0.0000
O3 O 0.1056 0.6038 0.0000
O4 O 0.2291 0.8626 0.2248
```

Main lines, low angle first (10° ≤ 2θ ≤ 90°):
2θ/deg	intensity	h k l
14.64	62	1 1 0
17.84	59	1 0 1
29.53	100	2 2 0
32.69	64	1 1 2
35.85	59	0 2 2
36.01	52	1 3 1
36.55	49	3 1 1
56.37	63	2 4 2


4.
The following is a simulated powder X-ray diffraction pattern of ZnAs4H8O16. It was derived from a GGA-PBE-relaxed structure, using copper Kα.
Neutral-atom scattering factors, no anomalous dispersion.

Structure:
```
data_ZnAs4H8O16
_symmetry_space_group_name_H-M 'P -1'
_symmetry_Int_Tables_number 2
_symmetry_space_group_name_Hall '-P 1'
_cell_length_a 5.6306
_cell_length_b 7.4595
_cell_length_c 8.1782
_cell_angle_alpha 96.43
_cell_angle_beta 96.16
_cell_angle_gamma 92.72
loop_
_atom_site_label
_atom_site_type_symbol
_atom_site_fract_x
_atom_site_fract_y
_atom_site_fract_z
Zn1 Zn 0.0000 0.0000 0.0000
As1 As 0.0790 0.3109 0.7443
As2 As 0.4446 0.8280 0.7959
H1 H 0.0180 0.6192 0.7747
H2 H 0.2772 0.2784 0.5101
H3 H 0.3529 0.9225 0.2726
H4 H 0.3732 0.4259 0.3101
O1 O 0.0899 0.4971 0.2634
O2 O 0.0954 0.8544 0.1959
O3 O 0.1177 0.2398 0.5379
O4 O 0.1601 0.8020 0.8392
O5 O 0.3293 0.1562 0.0408
O6 O 0.3418 0.3788 0.8714
O7 O 0.4790 0.0171 0.6928
O8 O 0.4932 0.6456 0.6456
```

Main lines, low angle first (10° ≤ 2θ ≤ 90°):
2θ/deg	intensity	h k l
10.96	42	0 0 1
22.05	100	-1 1 1
22.46	31	1 -1 1
24.79	53	1 1 1
25.27	26	0 2 -1
29.15	23	-1 1 2
30.80	25	0 2 -2
32.03	23	2 0 0


What is the formula in the first record?
Rb2AsH5O6


Copy entry 4 word for word.
The following is a simulated powder X-ray diffraction pattern of ZnAs4H8O16. It was derived from a GGA-PBE-relaxed structure, using copper Kα.
Neutral-atom scattering factors, no anomalous dispersion.

Structure:
```
data_ZnAs4H8O16
_symmetry_space_group_name_H-M 'P -1'
_symmetry_Int_Tables_number 2
_symmetry_space_group_name_Hall '-P 1'
_cell_length_a 5.6306
_cell_length_b 7.4595
_cell_length_c 8.1782
_cell_angle_alpha 96.43
_cell_angle_beta 96.16
_cell_angle_gamma 92.72
loop_
_atom_site_label
_atom_site_type_symbol
_atom_site_fract_x
_atom_site_fract_y
_atom_site_fract_z
Zn1 Zn 0.0000 0.0000 0.0000
As1 As 0.0790 0.3109 0.7443
As2 As 0.4446 0.8280 0.7959
H1 H 0.0180 0.6192 0.7747
H2 H 0.2772 0.2784 0.5101
H3 H 0.3529 0.9225 0.2726
H4 H 0.3732 0.4259 0.3101
O1 O 0.0899 0.4971 0.2634
O2 O 0.0954 0.8544 0.1959
O3 O 0.1177 0.2398 0.5379
O4 O 0.1601 0.8020 0.8392
O5 O 0.3293 0.1562 0.0408
O6 O 0.3418 0.3788 0.8714
O7 O 0.4790 0.0171 0.6928
O8 O 0.4932 0.6456 0.6456
```

Main lines, low angle first (10° ≤ 2θ ≤ 90°):
2θ/deg	intensity	h k l
10.96	42	0 0 1
22.05	100	-1 1 1
22.46	31	1 -1 1
24.79	53	1 1 1
25.27	26	0 2 -1
29.15	23	-1 1 2
30.80	25	0 2 -2
32.03	23	2 0 0